1.
The following is a theoretical powder X-ray diffraction pattern of Tm3Pt5. It was derived from a crystal structure in Alexandria, relaxed with GGA-PBE, using a wavelength of 1.5418 Å.

Crystal structure
```
data_Tm3Pt5
_space_group_name_H-M_alt 'C m c m'
_space_group_IT_number 63
_space_group_name_Hall '-C 2c 2'
_cell_length_a 9.104
_cell_length_b 7.065
_cell_length_c 9.567
_cell_angle_alpha 90.00
_cell_angle_beta 90.00
_cell_angle_gamma 90.00
loop_
_atom_site_label
_atom_site_type_symbol
_atom_site_fract_x
_atom_site_fract_y
_atom_site_fract_z
_atom_site_occupancy
Tm1 Tm 0.000 0.110 0.250 1
Tm2 Tm 0.205 0.500 0.000 1
Pt1 Pt 0.000 0.188 0.545 1
Pt2 Pt 0.000 0.486 0.750 1
Pt3 Pt 0.228 0.221 0.750 1
```

The 12 most intense peaks (2θ = 15–90°), in order of rising 2θ:
- 2θ 32.33, I 97, hkl 1 1 3
- 2θ 33.45, I 84, hkl 2 2 1
- 2θ 37.31, I 1000, hkl 2 2 2
- 2θ 37.61, I 275, hkl 0 0 4
- 2θ 39.57, I 394, hkl 4 0 0
- 2θ 43.08, I 263, hkl 2 2 3
- 2θ 55.73, I 181, hkl 4 0 4
- 2θ 64.71, I 86, hkl 5 3 0
- 2θ 67.68, I 100, hkl 2 2 6
- 2θ 77.08, I 92, hkl 3 5 2
- 2θ 77.33, I 69, hkl 5 3 4
- 2θ 77.83, I 58, hkl 2 2 7


2.
The following is a theoretical powder X-ray diffraction pattern of Tm4Pt3. It was derived from a crystal structure in Alexandria, relaxed with GGA-PBE, using a wavelength of 1.5418 Å.

Crystal structure
```
data_Tm4Pt3
_space_group_name_H-M_alt 'R -3'
_space_group_IT_number 148
_space_group_name_Hall '-R 3'
_cell_length_a 11.9521
_cell_length_b 11.9521
_cell_length_c 7.6575
_cell_angle_alpha 90.00
_cell_angle_beta 90.00
_cell_angle_gamma 120.00
loop_
_atom_site_label
_atom_site_type_symbol
_atom_site_fract_x
_atom_site_fract_y
_atom_site_fract_z
_atom_site_occupancy
Tm1 Tm 0.0000 0.0000 0.0000 1
Tm2 Tm 0.0000 0.0000 0.5000 1
Tm3 Tm 0.0290 0.4494 0.2999 1
Pt1 Pt 0.0406 0.2109 0.2589 1
```

The 12 most intense peaks (2θ = 15–90°), in order of rising 2θ:
- 2θ 32.73, I 953, hkl 3 -2 2
- 2θ 33.33, I 1000, hkl 4 -3 1
- 2θ 38.35, I 288, hkl 2 -1 3
- 2θ 39.22, I 475, hkl 3 1 2
- 2θ 39.91, I 576, hkl 1 4 0
- 2θ 44.13, I 147, hkl 0 3 3
- 2θ 46.81, I 157, hkl 2 2 3
- 2θ 55.30, I 131, hkl 4 3 1
- 2θ 59.44, I 125, hkl 7 -4 2
- 2θ 67.36, I 124, hkl 7 -5 3
- 2θ 70.63, I 164, hkl 6 -1 4
- 2θ 74.35, I 137, hkl 0 8 1


3.
The following is a theoretical powder X-ray diffraction pattern of Tm4Pt. It was derived from a crystal structure in Alexandria, relaxed with GGA-PBE, using a wavelength of 1.5418 Å.

Crystal structure
```
data_Tm4Pt
_space_group_name_H-M_alt 'I -4 2 d'
_space_group_IT_number 122
_space_group_name_Hall 'I -4 2bw'
_cell_length_a 8.652
_cell_length_b 8.652
_cell_length_c 7.604
_cell_angle_alpha 90.00
_cell_angle_beta 90.00
_cell_angle_gamma 90.00
loop_
_atom_site_label
_atom_site_type_symbol
_atom_site_fract_x
_atom_site_fract_y
_atom_site_fract_z
_atom_site_occupancy
Tm1 Tm 0.040 0.198 0.341 1
Pt1 Pt 0.000 0.000 0.000 1
```

The 12 most intense peaks (2θ = 15–90°), in order of rising 2θ:
- 2θ 15.51, I 193, hkl 1 0 1
- 2θ 20.53, I 262, hkl 2 0 0
- 2θ 31.32, I 1000, hkl 2 0 2
- 2θ 32.73, I 234, hkl 3 1 0
- 2θ 33.22, I 694, hkl 3 0 1
- 2θ 36.96, I 424, hkl 1 0 3
- 2θ 39.37, I 522, hkl 3 2 1
- 2θ 40.62, I 369, hkl 3 1 2
- 2θ 41.76, I 185, hkl 4 0 0
- 2θ 50.80, I 182, hkl 3 3 2
- 2θ 54.37, I 269, hkl 4 3 1
- 2θ 57.01, I 341, hkl 2 2 4


4.
The following is a theoretical powder X-ray diffraction pattern of Tm2VPt9. It was derived from a crystal structure in Alexandria, relaxed with GGA-PBE, using a wavelength of 1.5418 Å.

Crystal structure
```
data_Tm2VPt9
_space_group_name_H-M_alt 'P 4/m m m'
_space_group_IT_number 123
_space_group_name_Hall '-P 4 2'
_cell_length_a 4.031
_cell_length_b 4.031
_cell_length_c 12.121
_cell_angle_alpha 90.00
_cell_angle_beta 90.00
_cell_angle_gamma 90.00
loop_
_atom_site_label
_atom_site_type_symbol
_atom_site_fract_x
_atom_site_fract_y
_atom_site_fract_z
_atom_site_occupancy
Tm1 Tm 0.000 0.000 0.169 1
V1 V 0.000 0.000 0.500 1
Pt1 Pt 0.000 0.500 0.000 1
Pt2 Pt 0.000 0.500 0.347 1
Pt3 Pt 0.500 0.500 0.173 1
Pt4 Pt 0.500 0.500 0.500 1
```

The 12 most intense peaks (2θ = 15–90°), in order of rising 2θ:
- 2θ 22.04, I 23, hkl 1 0 0
- 2θ 31.36, I 21, hkl 1 1 0
- 2θ 34.78, I 22, hkl 1 1 2
- 2θ 37.10, I 23, hkl 0 0 5
- 2θ 38.66, I 1000, hkl 1 1 3
- 2θ 44.87, I 152, hkl 0 0 6
- 2θ 44.98, I 336, hkl 2 0 0
- 2θ 65.44, I 311, hkl 2 2 0
- 2θ 70.37, I 22, hkl 1 1 8
- 2θ 78.56, I 105, hkl 1 1 9
- 2θ 78.72, I 258, hkl 3 1 3
- 2θ 82.91, I 106, hkl 2 2 6


5.
The following is a theoretical powder X-ray diffraction pattern of Y2Tm2Pt3. It was derived from a crystal structure in Alexandria, relaxed with GGA-PBE, using a wavelength of 1.5418 Å.

Crystal structure
```
data_Y2Tm2Pt3
_space_group_name_H-M_alt 'C 1 2/m 1'
_space_group_IT_number 12
_space_group_name_Hall '-C 2y'
_cell_length_a 8.396
_cell_length_b 4.850
_cell_length_c 8.523
_cell_angle_alpha 90.00
_cell_angle_beta 109.04
_cell_angle_gamma 90.00
loop_
_atom_site_label
_atom_site_type_symbol
_atom_site_fract_x
_atom_site_fract_y
_atom_site_fract_z
_atom_site_occupancy
Y1 Y 0.125 0.000 0.375 1
Tm1 Tm 0.126 0.500 0.877 1
Pt1 Pt 0.000 0.000 0.000 1
Pt2 Pt 0.249 0.000 0.747 1
```

The 12 most intense peaks (2θ = 15–90°), in order of rising 2θ:
- 2θ 22.41, I 111, hkl 1 1 -1
- 2θ 28.15, I 154, hkl 2 0 1
- 2θ 36.64, I 1000, hkl 2 0 2
- 2θ 37.08, I 969, hkl 0 2 0
- 2θ 38.79, I 128, hkl 3 1 0
- 2θ 53.08, I 232, hkl 2 2 2
- 2θ 53.19, I 115, hkl 4 0 -4
- 2θ 65.69, I 183, hkl 1 1 5
- 2θ 66.53, I 235, hkl 5 1 1
- 2θ 66.61, I 117, hkl 4 2 -4
- 2θ 66.84, I 174, hkl 6 0 -2
- 2θ 89.52, I 111, hkl 4 2 4


6.
The following is a theoretical powder X-ray diffraction pattern of Tm5Zn2Pt. It was derived from a crystal structure in Alexandria, relaxed with GGA-PBE, using a wavelength of 1.5418 Å.

Crystal structure
```
data_Tm5Zn2Pt
_space_group_name_H-M_alt 'I 4/m c m'
_space_group_IT_number 140
_space_group_name_Hall '-I 4 2c'
_cell_length_a 7.105
_cell_length_b 7.105
_cell_length_c 15.123
_cell_angle_alpha 90.00
_cell_angle_beta 90.00
_cell_angle_gamma 90.00
loop_
_atom_site_label
_atom_site_type_symbol
_atom_site_fract_x
_atom_site_fract_y
_atom_site_fract_z
_atom_site_occupancy
Tm1 Tm 0.000 0.000 0.000 1
Tm2 Tm 0.172 0.328 0.153 1
Zn1 Zn 0.123 0.377 0.500 1
Pt1 Pt 0.000 0.000 0.250 1
```

The 12 most intense peaks (2θ = 15–90°), in order of rising 2θ:
- 2θ 28.71, I 145, hkl 2 1 1
- 2θ 29.57, I 325, hkl 1 1 4
- 2θ 33.33, I 1000, hkl 2 1 3
- 2θ 34.65, I 569, hkl 2 0 4
- 2θ 35.62, I 158, hkl 0 0 6
- 2θ 35.75, I 202, hkl 2 2 0
- 2θ 40.14, I 502, hkl 3 1 0
- 2θ 51.13, I 108, hkl 2 1 7
- 2θ 56.43, I 187, hkl 4 1 3
- 2θ 60.46, I 177, hkl 3 3 4
- 2θ 64.41, I 103, hkl 3 1 8
- 2θ 72.27, I 112, hkl 5 1 4


7.
The following is a theoretical powder X-ray diffraction pattern of Tm3Zn2Pt3. It was derived from a crystal structure in Alexandria, relaxed with GGA-PBE, using a wavelength of 1.5418 Å.

Crystal structure
```
data_Tm3Zn2Pt3
_space_group_name_H-M_alt 'P 63/m c m'
_space_group_IT_number 193
_space_group_name_Hall '-P 6c 2'
_cell_length_a 8.2294
_cell_length_b 8.2294
_cell_length_c 5.5259
_cell_angle_alpha 90.00
_cell_angle_beta 90.00
_cell_angle_gamma 120.00
loop_
_atom_site_label
_atom_site_type_symbol
_atom_site_fract_x
_atom_site_fract_y
_atom_site_fract_z
_atom_site_occupancy
Tm1 Tm 0.0000 0.2763 0.2500 1
Zn1 Zn 0.3333 0.6667 0.0000 1
Pt1 Pt 0.0000 0.3845 0.7500 1
```

The 12 most intense peaks (2θ = 15–90°), in order of rising 2θ:
- 2θ 21.60, I 476, hkl 1 1 0
- 2θ 32.40, I 455, hkl 0 0 2
- 2θ 37.13, I 1000, hkl 2 1 1
- 2θ 37.87, I 800, hkl 3 0 0
- 2θ 39.28, I 719, hkl 1 1 2
- 2θ 48.94, I 345, hkl 3 1 1
- 2θ 50.68, I 323, hkl 3 0 2
- 2θ 60.93, I 240, hkl 2 1 3
- 2θ 69.81, I 181, hkl 4 2 0
- 2θ 72.18, I 270, hkl 4 2 1
- 2θ 76.37, I 171, hkl 5 1 1
- 2θ 80.41, I 181, hkl 3 0 4


8.
The following is a theoretical powder X-ray diffraction pattern of Tm8ZnPt2. It was derived from a crystal structure in Alexandria, relaxed with GGA-PBE, using a wavelength of 1.5418 Å.

Crystal structure
```
data_Tm8ZnPt2
_space_group_name_H-M_alt 'C 1 m 1'
_space_group_IT_number 8
_space_group_name_Hall 'C -2y'
_cell_length_a 8.516
_cell_length_b 13.119
_cell_length_c 5.439
_cell_angle_alpha 90.00
_cell_angle_beta 105.48
_cell_angle_gamma 90.00
loop_
_atom_site_label
_atom_site_type_symbol
_atom_site_fract_x
_atom_site_fract_y
_atom_site_fract_z
_atom_site_occupancy
Tm1 Tm 0.000 0.000 0.000 1
Tm2 Tm 0.083 0.373 0.785 1
Tm3 Tm 0.174 0.127 0.604 1
Tm4 Tm 0.255 0.500 0.383 1
Tm5 Tm 0.380 0.235 0.192 1
Zn1 Zn 0.380 0.000 0.155 1
Pt1 Pt 0.378 0.306 0.692 1
```

The 12 most intense peaks (2θ = 15–90°), in order of rising 2θ:
- 2θ 16.91, I 413, hkl 0 0 1
- 2θ 25.61, I 481, hkl 2 2 0
- 2θ 30.44, I 719, hkl 1 3 1
- 2θ 31.06, I 550, hkl 2 0 1
- 2θ 32.19, I 1000, hkl 0 4 1
- 2θ 33.36, I 910, hkl 3 1 -1
- 2θ 33.70, I 503, hkl 1 1 -2
- 2θ 35.02, I 809, hkl 2 4 0
- 2θ 36.93, I 448, hkl 0 2 2
- 2θ 38.02, I 394, hkl 2 2 -2
- 2θ 38.63, I 676, hkl 1 5 -1
- 2θ 38.81, I 660, hkl 3 3 0


9.
The following is a theoretical powder X-ray diffraction pattern of Tm3ZnPt12. It was derived from a crystal structure in Alexandria, relaxed with GGA-PBE, using a wavelength of 1.5418 Å.

Crystal structure
```
data_Tm3ZnPt12
_space_group_name_H-M_alt 'P 4/m m m'
_space_group_IT_number 123
_space_group_name_Hall '-P 4 2'
_cell_length_a 4.067
_cell_length_b 4.067
_cell_length_c 16.095
_cell_angle_alpha 90.00
_cell_angle_beta 90.00
_cell_angle_gamma 90.00
loop_
_atom_site_label
_atom_site_type_symbol
_atom_site_fract_x
_atom_site_fract_y
_atom_site_fract_z
_atom_site_occupancy
Tm1 Tm 0.000 0.000 0.000 1
Tm2 Tm 0.000 0.000 0.256 1
Zn1 Zn 0.000 0.000 0.500 1
Pt1 Pt 0.000 0.500 0.128 1
Pt2 Pt 0.000 0.500 0.384 1
Pt3 Pt 0.500 0.500 0.000 1
Pt4 Pt 0.500 0.500 0.256 1
Pt5 Pt 0.500 0.500 0.500 1
```

The 12 most intense peaks (2θ = 15–90°), in order of rising 2θ:
- 2θ 35.41, I 14, hkl 1 1 3
- 2θ 38.48, I 1000, hkl 1 1 4
- 2θ 39.18, I 10, hkl 0 0 7
- 2θ 44.55, I 339, hkl 2 0 0
- 2θ 45.06, I 152, hkl 0 0 8
- 2θ 60.81, I 11, hkl 2 0 7
- 2θ 64.84, I 112, hkl 2 2 0
- 2θ 65.23, I 203, hkl 2 0 8
- 2θ 72.48, I 15, hkl 1 1 11
- 2θ 77.99, I 262, hkl 3 1 4
- 2θ 78.72, I 109, hkl 1 1 12
- 2θ 82.44, I 108, hkl 2 2 8


10.
The following is a theoretical powder X-ray diffraction pattern of TmZn4Pt4. It was derived from a crystal structure in Alexandria, relaxed with GGA-PBE, using a wavelength of 1.5418 Å.

Crystal structure
```
data_TmZn4Pt4
_space_group_name_H-M_alt 'P 42/n m c'
_space_group_IT_number 137
_cell_length_a 5.781
_cell_length_b 5.781
_cell_length_c 8.993
_cell_angle_alpha 90.00
_cell_angle_beta 90.00
_cell_angle_gamma 90.00
loop_
_space_group_symop_operation_xyz
'x,y,z'
'-x,-y,-z'
'-y+1/2,x,z+1/2'
'y+1/2,-x,-z+1/2'
'-x+1/2,-y+1/2,z'
'x+1/2,y+1/2,-z'
'y,-x+1/2,z+1/2'
'-y,x+1/2,-z+1/2'
'x+1/2,-y,-z'
'-x+1/2,y,z'
'-y,-x,-z+1/2'
'y,x,z+1/2'
'-x,y+1/2,-z'
'x,-y+1/2,z'
'y+1/2,x+1/2,-z+1/2'
'-y+1/2,-x+1/2,z+1/2'
loop_
_atom_site_label
_atom_site_type_symbol
_atom_site_fract_x
_atom_site_fract_y
_atom_site_fract_z
_atom_site_occupancy
Tm1 Tm 0.250 0.750 0.250 1
Zn1 Zn 0.029 0.250 0.178 1
Pt1 Pt 0.009 0.250 0.474 1
```

The 12 most intense peaks (2θ = 15–90°), in order of rising 2θ:
- 2θ 19.74, I 302, hkl 0 0 2
- 2θ 32.54, I 982, hkl 2 0 1
- 2θ 33.68, I 218, hkl 1 0 3
- 2θ 36.15, I 527, hkl 2 1 1
- 2θ 40.11, I 178, hkl 0 0 4
- 2θ 43.17, I 188, hkl 1 0 4
- 2θ 43.49, I 1000, hkl 2 0 3
- 2θ 44.31, I 391, hkl 2 2 0
- 2θ 48.95, I 425, hkl 2 2 2
- 2θ 64.47, I 238, hkl 4 0 0
- 2θ 74.09, I 199, hkl 4 2 1
- 2θ 81.00, I 295, hkl 4 2 3


11.
The following is a theoretical powder X-ray diffraction pattern of Tm2ZrPt9. It was derived from a crystal structure in Alexandria, relaxed with GGA-PBE, using a wavelength of 1.5418 Å.

Crystal structure
```
data_Tm2ZrPt9
_space_group_name_H-M_alt 'P 4/m m m'
_space_group_IT_number 123
_space_group_name_Hall '-P 4 2'
_cell_length_a 4.077
_cell_length_b 4.077
_cell_length_c 12.235
_cell_angle_alpha 90.00
_cell_angle_beta 90.00
_cell_angle_gamma 90.00
loop_
_atom_site_label
_atom_site_type_symbol
_atom_site_fract_x
_atom_site_fract_y
_atom_site_fract_z
_atom_site_occupancy
Tm1 Tm 0.000 0.000 0.166 1
Zr1 Zr 0.000 0.000 0.500 1
Pt1 Pt 0.000 0.500 0.000 1
Pt2 Pt 0.000 0.500 0.338 1
Pt3 Pt 0.500 0.500 0.169 1
Pt4 Pt 0.500 0.500 0.500 1
```

The 8 most intense peaks (2θ = 15–90°), in order of rising 2θ:
- 2θ 21.80, I 13, hkl 1 0 0
- 2θ 31.02, I 12, hkl 1 1 0
- 2θ 38.23, I 1000, hkl 1 1 3
- 2θ 44.44, I 493, hkl 2 0 0
- 2θ 50.02, I 7, hkl 2 1 0
- 2θ 64.66, I 325, hkl 2 2 0
- 2θ 77.67, I 387, hkl 3 1 3
- 2θ 81.83, I 113, hkl 2 2 6


12.
The following is a theoretical powder X-ray diffraction pattern of U6Pt. It was derived from a crystal structure in Alexandria, relaxed with GGA-PBE, using a wavelength of 1.5418 Å.

Crystal structure
```
data_U6Pt
_space_group_name_H-M_alt 'I m -3 m'
_space_group_IT_number 229
_space_group_name_Hall '-I 4 2 3'
_cell_length_a 7.070
_cell_length_b 7.070
_cell_length_c 7.070
_cell_angle_alpha 90.00
_cell_angle_beta 90.00
_cell_angle_gamma 90.00
loop_
_atom_site_label
_atom_site_type_symbol
_atom_site_fract_x
_atom_site_fract_y
_atom_site_fract_z
_atom_site_occupancy
U1 U 0.000 0.250 0.500 1
Pt1 Pt 0.000 0.000 0.000 1
```

The 12 most intense peaks (2θ = 15–90°), in order of rising 2θ:
- 2θ 17.74, I 307, hkl 1 1 0
- 2θ 25.19, I 418, hkl 2 0 0
- 2θ 30.98, I 1000, hkl 2 1 1
- 2θ 44.38, I 419, hkl 2 2 2
- 2θ 48.15, I 604, hkl 3 2 1
- 2θ 51.72, I 357, hkl 4 0 0
- 2θ 58.37, I 173, hkl 4 2 0
- 2θ 61.52, I 149, hkl 3 3 2
- 2θ 73.34, I 182, hkl 5 2 1
- 2θ 76.16, I 241, hkl 4 4 0
- 2θ 81.72, I 87, hkl 6 0 0
- 2θ 84.46, I 195, hkl 6 1 1


13.
The following is a theoretical powder X-ray diffraction pattern of Y2U2Pt15. It was derived from a crystal structure in Alexandria, relaxed with GGA-PBE, using a wavelength of 1.5418 Å.

Crystal structure
```
data_Y2U2Pt15
_space_group_name_H-M_alt 'R -3 m'
_space_group_IT_number 166
_space_group_name_Hall '-R 3 2"'
_cell_length_a 9.2707
_cell_length_b 9.2707
_cell_length_c 13.9441
_cell_angle_alpha 90.00
_cell_angle_beta 90.00
_cell_angle_gamma 120.00
loop_
_atom_site_label
_atom_site_type_symbol
_atom_site_fract_x
_atom_site_fract_y
_atom_site_fract_z
_atom_site_occupancy
Y1 Y 0.0000 0.0000 0.1407 1
U1 U 0.0000 0.0000 0.4140 1
Pt1 Pt 0.0000 0.3223 0.5000 1
Pt2 Pt 0.0000 0.5000 0.0000 1
Pt3 Pt 0.0025 0.5012 0.6601 1
```

The 12 most intense peaks (2θ = 15–90°), in order of rising 2θ:
- 2θ 19.14, I 190, hkl 1 1 0
- 2θ 33.48, I 215, hkl 3 0 0
- 2θ 38.81, I 897, hkl 0 0 6
- 2θ 38.86, I 326, hkl 2 2 0
- 2θ 43.61, I 1000, hkl 2 2 3
- 2θ 63.44, I 159, hkl 3 3 3
- 2θ 66.88, I 184, hkl 4 1 6
- 2θ 70.19, I 114, hkl 0 3 9
- 2θ 70.36, I 215, hkl 6 0 0
- 2θ 73.53, I 145, hkl 2 2 9
- 2θ 83.33, I 135, hkl 6 0 6
- 2θ 86.54, I 191, hkl 4 4 3